For Cs4Pr3DySe8, a structure optimized by DFT (PBE) gives the theoretical X-ray powder pattern in this record (Cu Kα (weighted mean of Kα1 and Kα2)).

Top 8 peaks for 2θ = 10–90°, sorted by position:
| Position (°2θ) | Rel. int. | (hkl) |
| --- | --- | --- |
| 27.37 | 1000 | 0 2 4 |
| 37.02 | 338 | 2 0 8 |
| 41.08 | 363 | 2 2 0 |
| 43.02 | 133 | 0 0 12 |
| 50.08 | 185 | 4 0 4 |
| 56.49 | 169 | 0 4 8 |
| 61.00 | 129 | 2 2 12 |
| 66.71 | 177 | 2 4 4 |

Crystal structure
```
data_Cs4Pr3DySe8
_chemical_formula_sum 'Cs12 Pr9 Dy3 Se24'
_cell_length_a 8.7879
_cell_length_b 8.7879
_cell_length_c 25.2283
_cell_angle_alpha 90.00
_cell_angle_beta 90.00
_cell_angle_gamma 120.00
_space_group_name_H-M_alt 'R -3 m'
_space_group_IT_number 166
_space_group_name_Hall '-R 3 2"'
loop_
_atom_site_label
_atom_site_fract_x
_atom_site_fract_y
_atom_site_fract_z
Cs1 0.0000 0.0000 0.0000
Cs2 0.0000 0.5000 0.0000
Pr1 0.0000 0.5000 0.5000
Dy1 0.0000 0.0000 0.5000
Se1 0.0000 0.0000 0.2310
Se2 0.0087 0.5044 0.2297
```

---

For Cs2DyPuS4, a structure optimized by DFT (PBE) gives the theoretical X-ray powder pattern in this record (Cu Kα (weighted mean of Kα1 and Kα2)).

Top 8 peaks for 2θ = 10–90°, sorted by position:
| Position (°2θ) | Rel. int. | (hkl) |
| --- | --- | --- |
| 11.00 | 189 | 0 0 1 |
| 22.11 | 353 | 0 0 2 |
| 25.88 | 607 | 2 0 0 |
| 28.93 | 1000 | 2 0 -2 |
| 39.00 | 379 | 1 1 -3 |
| 43.65 | 338 | 0 2 0 |
| 45.28 | 217 | 1 1 3 |
| 49.45 | 256 | 3 1 1 |

Crystal structure
```
data_Cs2DyPuS4
_chemical_formula_sum 'Cs2 Dy1 Pu1 S4'
_cell_length_a 7.1917
_cell_length_b 4.1427
_cell_length_c 8.3895
_cell_angle_alpha 90.00
_cell_angle_beta 106.57
_cell_angle_gamma 90.00
_space_group_name_H-M_alt 'P 1 2/m 1'
_space_group_IT_number 10
_space_group_name_Hall '-P 2y'
loop_
_atom_site_label
_atom_site_fract_x
_atom_site_fract_y
_atom_site_fract_z
Cs1 0.0000 0.0000 0.0000
Cs2 0.5000 0.5000 0.0000
Dy1 0.0000 0.5000 0.5000
Pu1 0.5000 0.0000 0.5000
S1 0.2235 0.0000 0.6817
S2 0.2715 0.5000 0.3205
```

---

For Cs3DyS3, a structure optimized by DFT (PBE) gives the theoretical X-ray powder pattern in this record (Cu Kα (weighted mean of Kα1 and Kα2)).

Top 8 peaks for 2θ = 10–90°, sorted by position:
| Position (°2θ) | Rel. int. | (hkl) |
| --- | --- | --- |
| 20.87 | 604 | 0 1 2 |
| 22.03 | 631 | 2 1 -1 |
| 24.17 | 488 | 0 4 0 |
| 25.19 | 366 | 1 1 -3 |
| 26.42 | 1000 | 1 4 -1 |
| 27.05 | 356 | 0 3 2 |
| 27.83 | 782 | 2 2 -3 |
| 32.17 | 365 | 1 2 2 |

Crystal structure
```
data_Cs3DyS3
_chemical_formula_sum 'Cs12 Dy4 S12'
_cell_length_a 8.6986
_cell_length_b 14.7271
_cell_length_c 11.1938
_cell_angle_alpha 90.00
_cell_angle_beta 127.34
_cell_angle_gamma 90.00
_space_group_name_H-M_alt 'P 1 21/c 1'
_space_group_IT_number 14
_space_group_name_Hall '-P 2ybc'
loop_
_atom_site_label
_atom_site_fract_x
_atom_site_fract_y
_atom_site_fract_z
Cs1 0.1104 0.1245 0.4737
Cs2 0.1689 0.1108 0.8846
Cs3 0.3275 0.6728 0.5418
Dy1 0.4477 0.0663 0.3403
S1 0.1854 0.1905 0.2027
S2 0.3311 0.5938 0.8664
S3 0.3672 0.5431 0.2688
```

---

For CsDyS4, a structure optimized by DFT (PBE) gives the theoretical X-ray powder pattern in this record (Cu Kα (weighted mean of Kα1 and Kα2)).

Top 8 peaks for 2θ = 10–90°, sorted by position:
| Position (°2θ) | Rel. int. | (hkl) |
| --- | --- | --- |
| 20.45 | 196 | 0 0 2 |
| 20.99 | 486 | 1 1 0 |
| 29.47 | 1000 | 1 1 2 |
| 29.86 | 357 | 2 0 0 |
| 36.47 | 418 | 2 0 2 |
| 47.04 | 206 | 1 1 4 |
| 48.08 | 281 | 3 1 0 |
| 52.76 | 219 | 3 1 2 |

Crystal structure
```
data_CsDyS4
_chemical_formula_sum 'Cs2 Dy2 S8'
_cell_length_a 5.9843
_cell_length_b 5.9843
_cell_length_c 8.6850
_cell_angle_alpha 90.00
_cell_angle_beta 90.00
_cell_angle_gamma 90.00
_space_group_name_H-M_alt 'P 4/n b m'
_space_group_IT_number 125
loop_
_space_group_symop_operation_xyz
'x,y,z'
'-x,-y,-z'
'-y+1/2,x,z'
'y+1/2,-x,-z'
'-x+1/2,-y+1/2,z'
'x+1/2,y+1/2,-z'
'y,-x+1/2,z'
'-y,x+1/2,-z'
'x,-y+1/2,-z'
'-x,y+1/2,z'
'-y+1/2,-x+1/2,-z'
'y+1/2,x+1/2,z'
'-x+1/2,y,-z'
'x+1/2,-y,z'
'y,x,-z'
'-y,-x,z'
loop_
_atom_site_label
_atom_site_fract_x
_atom_site_fract_y
_atom_site_fract_z
Cs1 0.2500 0.2500 0.0000
Dy1 0.2500 0.2500 0.5000
S1 0.1250 0.6250 0.3139
```